(1)
For Rb2Tm2BiS6, a crystal structure in Alexandria, relaxed with PBE gives the simulated powder diffraction line list in this record (Cu Kα (weighted mean of Kα1 and Kα2)).
Intensities are scaled so that the largest is 100.

Atomic structure:
```
11
Lattice="3.4421 -5.9864 0.0000 3.4421 5.9864 0.0000 -2.2623 0.0000 7.9352" Properties=species:S:1:pos:R:3 pbc="T T T"
Rb 3.4421 4.0030 0.0000
Rb 3.4421 -4.0030 0.0000
Tm 2.3109 1.9993 3.9676
Tm 2.3109 -1.9993 3.9676
Bi -1.1312 0.0000 3.9676
S 0.0327 2.0314 5.4582
S 1.1942 0.0000 2.4755
S 0.0327 -2.0314 5.4582
S 4.5892 2.0314 2.4770
S 3.4277 0.0000 5.4597
S 4.5892 -2.0314 2.4770
```

Most intense lines, 10° ≤ 2θ ≤ 90°, in order of rising 2θ:
2theta, I (rel.)
11.15, 100
22.41, 33
26.07, 16
26.91, 53
29.89, 81
30.04, 40
37.07, 17
40.02, 47
45.60, 26
55.47, 21

(2)
For Rb3BiSb2, a crystal structure in Alexandria, relaxed with PBE gives the simulated powder diffraction line list in this record (Cu Kα (weighted mean of Kα1 and Kα2)).
Intensities are scaled so that the largest is 100.

Atomic structure:
```
24
Lattice="8.9858 0.0000 0.0000 0.0000 11.1239 0.0000 -2.0941 0.0000 10.9348" Properties=species:S:1:pos:R:3 pbc="T T T"
Rb 0.2334 1.2762 4.9288
Rb -0.8137 4.2858 10.3962
Rb 1.8034 0.8275 1.2463
Rb 0.7563 4.7344 6.7137
Rb 1.7295 7.9430 3.7992
Rb 0.6825 8.7428 9.2666
Rb 6.2092 2.3811 1.6682
Rb 5.1622 3.1808 7.1356
Rb 6.1354 6.3895 4.2211
Rb 5.0884 10.2964 9.6885
Rb 7.7054 6.8381 0.5386
Rb 6.6583 9.8477 6.0060
Bi 1.9671 1.4133 8.6054
Bi 3.0142 4.1486 3.1380
Bi 3.8776 6.9753 7.7967
Bi 4.9246 9.7106 2.3293
Sb -0.9226 1.1215 8.5226
Sb 0.1245 4.4404 3.0552
Sb 3.8788 6.2546 1.1089
Sb 2.8318 10.4312 6.5762
Sb 4.0599 0.6927 4.3585
Sb 3.0129 4.8692 9.8259
Sb 6.7673 6.6835 7.8796
Sb 7.8143 10.0024 2.4122
```

Most intense lines, 10° ≤ 2θ ≤ 90°, in order of rising 2θ:
2theta, I (rel.)
16.18, 61
17.89, 30
24.47, 35
24.75, 51
26.07, 48
28.20, 35
29.30, 100
33.98, 40
43.41, 31
49.85, 31

(3)
For RbBiSbTe3, a crystal structure in Alexandria, relaxed with PBE gives the simulated powder diffraction line list in this record (Cu Kα (weighted mean of Kα1 and Kα2)).
Intensities are scaled so that the largest is 100.

Atomic structure:
```
12
Lattice="9.4009 0.0000 0.0000 0.0000 4.7804 0.0000 -4.6327 0.0000 11.1825" Properties=species:S:1:pos:R:3 pbc="T T T"
Rb 0.9331 1.1951 3.0381
Rb 3.8351 3.5853 8.1444
Bi -0.3595 3.5853 9.3784
Bi 5.1277 1.1951 1.8041
Sb -1.3971 1.1951 6.0140
Sb 6.1653 3.5853 5.1685
Te -2.4462 1.1951 8.6273
Te 0.4876 3.5853 6.3320
Te 3.1507 3.5853 1.1050
Te 1.6175 1.1951 10.0775
Te 4.2805 1.1951 4.8505
Te 7.2144 3.5853 2.5552
```

Most intense lines, 10° ≤ 2θ ≤ 90°, in order of rising 2θ:
2theta, I (rel.)
10.22, 100
24.04, 34
27.75, 95
29.58, 44
31.17, 24
34.44, 23
37.63, 27
39.96, 29
42.03, 43
48.58, 24

(4)
For Rb3BiSe3, a crystal structure in Alexandria, relaxed with PBE gives the simulated powder diffraction line list in this record (Cu Kα (weighted mean of Kα1 and Kα2)).
Intensities are scaled so that the largest is 100.

Atomic structure:
```
28
Lattice="13.9174 0.0000 0.0000 0.0000 5.3207 0.0000 0.0000 0.0000 15.1460" Properties=species:S:1:pos:R:3 pbc="T T T"
Rb 0.8851 1.3302 1.6009
Rb 2.1117 3.9905 7.4647
Rb 3.2862 3.9905 12.0074
Rb 3.6725 1.3302 4.4344
Rb 4.8470 1.3302 15.0377
Rb 6.0736 3.9905 9.1739
Rb 7.8438 1.3302 5.9720
Rb 9.0704 3.9905 0.1082
Rb 10.2449 3.9905 10.7115
Rb 10.6312 1.3302 3.1385
Rb 11.8058 1.3302 7.6812
Rb 13.0323 3.9905 13.5450
Bi 0.8133 1.3302 10.6131
Bi 6.1454 3.9905 3.0401
Bi 7.7720 1.3302 12.1059
Bi 13.1041 3.9905 4.5329
Se 0.2937 1.3302 5.1880
Se 1.4411 1.3302 13.2887
Se 3.2947 1.3302 9.5018
Se 3.6641 3.9905 1.9288
Se 5.5176 3.9905 5.7157
Se 6.6650 3.9905 12.7609
Se 7.2524 1.3302 2.3850
Se 8.3998 1.3302 9.4303
Se 10.2534 1.3302 13.2172
Se 10.6228 3.9905 5.6442
Se 12.4763 3.9905 1.8573
Se 13.6237 3.9905 9.9580
```

Most intense lines, 10° ≤ 2θ ≤ 90°, in order of rising 2θ:
2theta, I (rel.)
11.69, 65
14.01, 72
21.02, 60
25.14, 79
26.12, 77
27.52, 93
30.19, 75
30.70, 95
33.69, 100
40.70, 60

(5)
For RbBi3Se5, a crystal structure in Alexandria, relaxed with PBE gives the simulated powder diffraction line list in this record (Cu Kα (weighted mean of Kα1 and Kα2)).
Intensities are scaled so that the largest is 100.

Atomic structure:
```
36
Lattice="22.4793 0.0000 0.0000 0.0000 4.2075 0.0000 0.0000 0.0000 12.5462" Properties=species:S:1:pos:R:3 pbc="T T T"
Rb 4.7912 1.0519 0.1250
Rb 6.4484 3.1556 6.3981
Rb 16.0308 1.0519 6.1481
Rb 17.6881 3.1556 12.4212
Bi 0.5467 1.0519 1.7086
Bi 1.6875 3.1556 5.1065
Bi 2.8160 1.0519 8.7358
Bi 8.4237 3.1556 2.4627
Bi 9.5521 1.0519 11.3796
Bi 10.6929 3.1556 7.9817
Bi 11.7864 1.0519 4.5645
Bi 12.9272 3.1556 1.1666
Bi 14.0556 1.0519 10.0835
Bi 19.6633 3.1556 3.8104
Bi 20.7918 1.0519 7.4397
Bi 21.9326 3.1556 10.8376
Se 0.4403 3.1556 8.0115
Se 1.4445 1.0519 11.4917
Se 2.5306 3.1556 2.4205
Se 3.5400 1.0519 5.9474
Se 4.5550 3.1556 9.4214
Se 6.6847 1.0519 3.1483
Se 7.6996 3.1556 12.2205
Se 8.7090 1.0519 8.6936
Se 9.7952 3.1556 5.2186
Se 10.7993 1.0519 1.7384
Se 11.6799 3.1556 10.8078
Se 12.6841 1.0519 7.3276
Se 13.7703 3.1556 3.8526
Se 14.7797 1.0519 0.3257
Se 15.7946 3.1556 9.3979
Se 17.9243 1.0519 3.1248
Se 18.9393 3.1556 6.5988
Se 19.9486 1.0519 10.1257
Se 21.0348 3.1556 1.0545
Se 22.0390 1.0519 4.5347
```

Most intense lines, 10° ≤ 2θ ≤ 90°, in order of rising 2θ:
2theta, I (rel.)
25.80, 31
27.42, 100
29.57, 47
29.95, 71
30.91, 33
32.79, 28
38.77, 43
42.99, 36
43.71, 44
44.41, 26

(6)
For Rb2Bi8Se13, a crystal structure in Alexandria, relaxed with PBE gives the simulated powder diffraction line list in this record (Cu Kα (weighted mean of Kα1 and Kα2)).
Intensities are scaled so that the largest is 100.

Atomic structure:
```
46
Lattice="13.9283 0.0000 0.0000 0.0000 4.2206 0.0000 -2.9771 0.0000 25.1028" Properties=species:S:1:pos:R:3 pbc="T T T"
Rb 0.6942 1.0551 2.9905
Rb 2.0199 3.1654 9.0467
Rb 8.9313 1.0551 16.0561
Rb 10.2570 3.1654 22.1124
Bi -1.2737 3.1654 18.3987
Bi -0.6930 1.0551 14.1567
Bi 0.2434 3.1654 24.3234
Bi 1.8326 1.0551 20.8572
Bi 4.5990 3.1654 5.3062
Bi 3.2795 3.1654 17.3763
Bi 4.6188 1.0551 14.0491
Bi 6.1277 1.0551 1.7599
Bi 4.8235 3.1654 23.3430
Bi 6.3325 3.1654 11.0537
Bi 7.6717 1.0551 7.7265
Bi 6.3522 1.0551 19.7967
Bi 9.1186 3.1654 4.2456
Bi 10.7078 1.0551 0.7794
Bi 11.6442 3.1654 10.9461
Bi 12.2249 1.0551 6.7041
Se -0.8792 1.0551 9.3381
Se 0.0070 3.1654 5.9766
Se -1.5876 1.0551 24.6084
Se 0.1094 3.1654 12.2534
Se -0.0704 3.1654 21.4559
Se 1.2112 1.0551 18.0797
Se 2.8378 1.0551 5.8482
Se 2.5888 3.1654 14.6931
Se 4.1486 3.1654 2.2021
Se 2.6808 1.0551 23.8888
Se 4.2330 1.0551 11.2789
Se 4.0124 3.1654 20.5282
Se 5.6465 3.1654 8.0018
Se 5.3047 1.0551 17.1011
Se 6.9388 1.0551 4.5746
Se 6.7182 3.1654 13.8239
Se 8.2704 3.1654 1.2140
Se 6.8027 1.0551 22.9007
Se 8.3624 1.0551 10.4097
Se 8.1135 3.1654 19.2546
Se 9.7400 3.1654 7.0231
Se 11.0216 1.0551 3.6469
Se 10.8418 1.0551 12.8494
Se 12.5388 3.1654 0.4944
Se 10.9442 1.0551 19.1262
Se 11.8304 3.1654 15.7647
```

Most intense lines, 10° ≤ 2θ ≤ 90°, in order of rising 2θ:
2theta, I (rel.)
12.85, 15
21.30, 23
25.43, 16
29.00, 100
29.93, 43
40.05, 14
41.70, 27
42.61, 29
42.85, 25
53.15, 18

(7)
For Rb2Bi4Se7, a crystal structure in Alexandria, relaxed with PBE gives the simulated powder diffraction line list in this record (Cu Kα (weighted mean of Kα1 and Kα2)).
Intensities are scaled so that the largest is 100.

Atomic structure:
```
26
Lattice="13.2962 0.0000 0.0000 0.0000 4.2700 0.0000 -0.8008 0.0000 15.2932" Properties=species:S:1:pos:R:3 pbc="T T T"
Rb 0.6810 1.0675 2.8419
Rb 4.0511 3.2025 5.7663
Rb 8.4442 1.0675 9.5269
Rb 11.8144 3.2025 12.4514
Bi 0.9626 3.2025 8.7231
Bi 2.3018 3.2025 14.5605
Bi 3.8799 1.0675 11.0211
Bi 5.7795 1.0675 1.9000
Bi 6.7159 3.2025 13.3932
Bi 8.6154 3.2025 4.2722
Bi 10.1935 1.0675 0.7327
Bi 11.5327 1.0675 6.5701
Se 0.2662 3.2025 5.9382
Se 0.4768 1.0675 14.7544
Se 1.9624 3.2025 11.6087
Se 2.9865 1.0675 8.2809
Se 3.7482 3.2025 2.1919
Se 4.6549 1.0675 14.0049
Se 5.9894 3.2025 10.6639
Se 6.5059 1.0675 4.6293
Se 7.8404 3.2025 1.2883
Se 8.7472 1.0675 13.1014
Se 9.5088 3.2025 7.0123
Se 10.5329 1.0675 3.6845
Se 12.0185 3.2025 0.5389
Se 12.2291 1.0675 9.3550
```

Most intense lines, 10° ≤ 2θ ≤ 90°, in order of rising 2θ:
2theta, I (rel.)
13.05, 19
21.41, 19
24.79, 18
29.44, 100
30.33, 49
36.48, 14
42.33, 26
42.62, 38
42.93, 26
52.96, 21

(8)
For Rb2SiBiSe4, a crystal structure in Alexandria, relaxed with PBE gives the simulated powder diffraction line list in this record (Cu Kα (weighted mean of Kα1 and Kα2)).
Intensities are scaled so that the largest is 100.

Atomic structure:
```
16
Lattice="0.0000 7.0736 12.1251 3.6279 0.0000 12.1251 3.6279 7.0736 0.0000" Properties=species:S:1:pos:R:3 pbc="T T T"
Rb 2.7209 5.3052 1.2813
Rb 4.5349 8.8420 7.3439
Rb 2.7209 5.3052 16.9063
Rb 4.5349 8.8420 22.9688
Si 2.7209 5.3052 9.0938
Si 4.5349 8.8420 15.1564
Bi 0.9070 1.7684 3.0313
Bi 6.3488 12.3788 21.2189
Se 4.0688 3.8500 7.9320
Se 4.0688 6.7604 10.2556
Se 5.8827 7.3868 16.3182
Se 5.8827 10.2972 13.9946
Se 1.3731 3.8500 10.2556
Se 1.3731 6.7604 7.9320
Se 3.1870 7.3868 13.9946
Se 3.1870 10.2972 16.3182
```

Most intense lines, 10° ≤ 2θ ≤ 90°, in order of rising 2θ:
2theta, I (rel.)
14.50, 59
14.61, 69
22.79, 74
25.38, 56
27.63, 39
29.14, 100
29.26, 42
33.18, 40
37.92, 30
42.11, 29